Theoretical XRD peak list of SnHgPb14 for Cu Kα X-rays, from a GGA-PBE-relaxed structure.

Cell lengths 7.0769, 7.0769, 9.8780 Å; angles 90.00, 90.00, 92.12 degrees
Sites, in units of the cell vectors:
Sn 0.0000 0.0000 0.0000
Hg 0.5000 0.5000 0.0000
Pb 0.0000 0.0000 0.5000
Pb 0.0000 0.5000 0.0000
Pb 0.0000 0.5000 0.5000
Pb 0.2500 0.2500 0.2446
Pb 0.2500 0.2500 0.7554
Pb 0.2496 0.7504 0.2476
Pb 0.2496 0.7504 0.7524
Pb 0.5000 0.0000 0.0000
Pb 0.5000 0.0000 0.5000
Pb 0.5000 0.5000 0.5000
Pb 0.7504 0.2496 0.2476
Pb 0.7504 0.2496 0.7524
Pb 0.7500 0.7500 0.2446
Pb 0.7500 0.7500 0.7554

Top 12 peaks for 15° ≤ 2θ ≤ 90°, most intense first:
d_spacing  intensity
2.875  100.0
2.548  18.2
2.469  16.6
2.455  16.4
1.527  15.6
1.486  14.3
1.492  14.3
1.438  12.8
1.773  12.5
1.768  12.5
1.741  11.8
1.132  9.4